For Mn3BPO10, a DFT-relaxed cell (GGA+U, the Materials Project) gives the simulated powder X-ray diffraction pattern in this record (Cu Ka).
Kinematic intensities with the Lorentz-polarization factor, no thermal factor.

The 8 most intense peaks (2θ = 10–90°), in order of falling intensity:
| 2θ (°) | intensity | index |
| --- | --- | --- |
| 30.2 | 100 | 1 2 1 |
| 11.2 | 99 | 2 0 0 |
| 22.7 | 68 | 1 0 2 |
| 20.1 | 55 | 3 0 1 |
| 31.8 | 40 | 2 2 1 |
| 26.6 | 35 | 1 1 2 |
| 15.7 | 35 | 2 0 1 |
| 35.8 | 32 | 6 0 1 |

Structural model:
```
60
Lattice="15.8549 0.0000 0.0000 0.0000 6.4866 0.0000 0.0000 0.0000 8.0758" Properties=species:S:1:pos:R:3 pbc="T T T"
Mn 0.0367 1.6217 0.9152
Mn 1.8551 0.0506 3.1158
Mn 1.8551 3.1927 3.1158
Mn 6.0724 3.2939 7.1537
Mn 6.0724 6.4360 7.1537
Mn 7.8907 4.8650 4.9531
Mn 7.9642 1.6217 3.1227
Mn 9.7825 0.0506 0.9221
Mn 9.7825 3.1927 0.9221
Mn 13.9998 3.2939 4.9600
Mn 13.9998 6.4360 4.9600
Mn 15.8182 4.8650 7.1606
B 3.0041 4.8650 7.4268
B 4.9233 1.6217 3.3889
B 10.9316 4.8650 4.6869
B 12.8508 1.6217 0.6490
P 0.7965 1.6217 5.8929
P 7.1309 4.8650 1.8550
P 8.7239 1.6217 6.2208
P 15.0584 4.8650 2.1829
O 0.0740 3.5597 2.3495
O 0.0740 6.1703 2.3495
O 1.3343 1.6217 7.3168
O 1.6672 1.6217 2.1140
O 1.8492 1.6217 4.7408
O 1.8624 4.8650 8.0182
O 2.2511 4.8650 3.7738
O 3.8098 3.7746 6.8100
O 3.8098 5.9554 6.8100
O 3.8195 4.8650 5.7678
O 4.1079 1.6217 1.7299
O 4.1176 0.5313 2.7720
O 4.1176 2.7120 2.7720
O 5.6763 1.6217 7.8117
O 6.0651 1.6217 3.9803
O 6.0782 4.8650 0.7029
O 6.2602 4.8650 6.1519
O 6.5932 4.8650 3.2789
O 7.8535 0.3164 6.3874
O 7.8535 2.9270 6.3874
O 8.0014 3.5597 1.6884
O 8.0014 6.1703 1.6884
O 9.2617 1.6217 4.7969
O 9.5947 1.6217 1.9239
O 9.7767 1.6217 7.3729
O 9.7898 4.8650 4.0956
O 10.1786 4.8650 0.2641
O 11.7373 3.7746 5.3038
O 11.7373 5.9554 5.3038
O 11.7470 4.8650 6.3459
O 12.0354 1.6217 2.3080
O 12.0451 0.5313 1.2659
O 12.0451 2.7120 1.2659
O 13.6038 1.6217 4.3020
O 13.9925 1.6217 0.0577
O 14.0057 4.8650 3.3350
O 14.1877 4.8650 5.9619
O 14.5206 4.8650 0.7590
O 15.7809 0.3164 5.7263
O 15.7809 2.9270 5.7263
```